Structure and simulated powder diffractogram of NaLiB2H10N2 (DFT lattice parameters and positions (PBE); Cu Kα (λ = 1.5418 Å)).
Neutral-atom scattering factors, no anomalous dispersion.

Principal peaks in the range 10 to 80 degrees two-theta, in order of falling intensity:
index	2theta	intensity
1 -1 1	22.7	100
0 2 0	27.0	66
1 1 -2	27.2	61
1 0 1	24.1	37
-1 1 2	28.2	22
0 0 3	33.0	20
1 -3 1	39.0	20
0 2 -3	35.8	18
1 1 1	31.9	18
-2 1 1	35.0	16

Structural model:
a b c (Å): 5.204 7.143 8.764
angles (deg): 103.67 102.76 103.92
Positions (direct):
Na  0.160  0.267  0.486
Na  0.840  0.733  0.514
Li  0.448  0.062  0.868
Li  0.552  0.938  0.132
B  0.012  0.862  0.248
B  0.356  0.700  0.696
B  0.644  0.300  0.304
B  0.988  0.138  0.752
H  0.016  0.986  0.790
H  0.079  0.714  0.024
H  0.123  0.596  0.688
H  0.140  0.918  0.396
H  0.199  0.634  0.174
H  0.225  0.249  0.771
H  0.258  0.143  0.122
H  0.335  0.839  0.637
H  0.443  0.324  0.073
H  0.454  0.593  0.606
H  0.546  0.407  0.394
H  0.557  0.676  0.927
H  0.665  0.161  0.363
H  0.742  0.857  0.878
H  0.775  0.751  0.229
H  0.801  0.366  0.826
H  0.860  0.082  0.604
H  0.877  0.404  0.312
H  0.921  0.286  0.976
H  0.984  0.014  0.210
N  0.180  0.763  0.147
N  0.455  0.209  0.122
N  0.545  0.791  0.878
N  0.820  0.237  0.853